# 1
Diffraction record for Sr5Mg. The X-ray diffraction stick pattern is calculated, not measured: it uses a crystal structure in Alexandria, relaxed with PBE and a wavelength of 1.5418 Å.
Neutral-atom scattering factors, no anomalous dispersion.

Structure:
Lattice parameters (Å, degrees): 4.2246 4.2246 16.4145 90.00 90.00 90.00
Atoms (fractional coordinates):
Sr 0.0000 0.0000 0.0000
Sr 0.0000 0.0000 0.3748
Sr 0.0000 0.0000 0.6252
Sr 0.5000 0.5000 0.1875
Sr 0.5000 0.5000 0.8125
Mg 0.5000 0.5000 0.5000

Peak list (10 most intense, 2θ from 15° to 90°, in order of rising 2θ)
d [Å], intensity
3.756, 287
3.344, 1000
3.283, 179
2.987, 501
2.209, 238
2.112, 185
1.846, 212
1.786, 324
1.390, 152
1.336, 131


# 2
Diffraction record for HoBe2Cu6. The X-ray diffraction stick pattern is calculated, not measured: it uses a crystal structure in Alexandria, relaxed with PBE and a wavelength of 1.5418 Å.
Neutral-atom scattering factors, no anomalous dispersion.

Structure:
Lattice parameters (Å, degrees): 7.2900 7.2900 7.2900 60.00 60.00 60.00
Atoms (fractional coordinates):
Ho 0.1250 0.1250 0.1250
Ho 0.8750 0.8750 0.8750
Be 0.0000 0.5000 0.5000
Be 0.5000 0.0000 0.5000
Be 0.5000 0.5000 0.0000
Be 0.5000 0.5000 0.5000
Cu 0.1470 0.1470 0.6030
Cu 0.1470 0.6030 0.1470
Cu 0.1470 0.6030 0.6030
Cu 0.3970 0.3970 0.8530
Cu 0.3970 0.8530 0.3970
Cu 0.3970 0.8530 0.8530
Cu 0.6030 0.1470 0.1470
Cu 0.6030 0.1470 0.6030
Cu 0.6030 0.6030 0.1470
Cu 0.8530 0.3970 0.3970
Cu 0.8530 0.3970 0.8530
Cu 0.8530 0.8530 0.3970

Peak list (10 most intense, 2θ from 15° to 90°, in order of rising 2θ)
d [Å], intensity
3.108, 398
2.577, 1000
2.365, 320
1.984, 124
1.822, 698
1.488, 195
1.342, 173
1.289, 91
1.260, 94
1.153, 211


# 3
Diffraction record for Mg7Si4. The X-ray diffraction stick pattern is calculated, not measured: it uses a crystal structure in Alexandria, relaxed with PBE and a wavelength of 1.5418 Å.
Neutral-atom scattering factors, no anomalous dispersion.

Structure:
Lattice parameters (Å, degrees): 5.2550 6.1852 13.8603 102.35 92.26 90.07
Atoms (fractional coordinates):
Mg 0.0000 0.0000 0.0000
Mg 0.9998 0.4967 0.3842
Mg 0.0135 0.9913 0.3946
Mg 0.0353 0.4932 0.0043
Mg 0.0911 0.3415 0.5884
Mg 0.2208 0.8320 0.5807
Mg 0.2622 0.2624 0.2026
Mg 0.4805 0.7381 0.3225
Mg 0.4944 0.9646 0.8602
Mg 0.5059 0.2640 0.4302
Mg 0.5157 0.8171 0.0891
Mg 0.5275 0.4872 0.8853
Mg 0.9860 0.1688 0.7829
Mg 0.9988 0.6735 0.7924
Si 0.0311 0.8228 0.1773
Si 0.4765 0.1966 0.7045
Si 0.4896 0.5880 0.7012
Si 0.5189 0.2774 0.0352
Si 0.7206 0.6341 0.5577
Si 0.7226 0.0203 0.5652
Si 0.7482 0.1224 0.2516
Si 0.7759 0.4666 0.1827

Peak list (10 most intense, 2θ from 15° to 90°, in order of rising 2θ)
d [Å], intensity
2.626, 544
2.606, 457
2.560, 554
2.489, 643
2.456, 1000
2.446, 876
2.366, 551
2.311, 673
2.281, 410
2.230, 492


# 4
Diffraction record for GeOsO3. The X-ray diffraction stick pattern is calculated, not measured: it uses a crystal structure in Alexandria, relaxed with PBE and a wavelength of 1.5418 Å.
Neutral-atom scattering factors, no anomalous dispersion.

Structure:
Lattice parameters (Å, degrees): 3.9070 3.9070 3.9070 90.00 90.00 90.00
Atoms (fractional coordinates):
Ge 0.0000 0.0000 0.0000
Os 0.5000 0.5000 0.5000
O 0.0000 0.5000 0.5000
O 0.5000 0.0000 0.5000
O 0.5000 0.5000 0.0000

Peak list (10 most intense, 2θ from 15° to 90°, in order of rising 2θ)
d [Å], intensity
3.907, 332
2.763, 1000
2.256, 25
1.953, 290
1.747, 140
1.595, 399
1.381, 178
1.302, 66
1.235, 174
1.128, 62